Diffraction record for Cs3Re6Se8Cl6O2. The PXRD pattern is computed, not measured: it uses a DFT-relaxed cell (GGA-PBE, the Materials Project) and Cu Kα (weighted mean of Kα1 and Kα2).

The 8 most intense peaks (5 to 70 degrees two-theta), most intense first:
two_theta, I (rel.)
10.51, 100.0
9.78, 66.4
11.69, 50.8
16.48, 21.0
13.24, 11.3
16.37, 9.8
39.11, 9.6
43.47, 9.3

Lattice parameters (Å, degrees): 10.0501 13.3790 12.0357 90.00 115.83 90.00
Space group P2_1/c (No. 14)
Inequivalent atoms, fractional coordinates:
Cs (0.0000, 0.0000, 0.0000) x2
Cs (0.4646, 0.2271, 0.4105) x4
Re (0.0973, 0.5351, 0.9059) x4
Re (0.1039, 0.1243, 0.5396) x4
Re (0.1511, 0.5588, 0.1366) x4
Se (0.0439, 0.1414, 0.3129) x4
Se (0.1345, 0.7107, 0.9998) x4
Se (0.1501, 0.0936, 0.7620) x4
Se (0.3379, 0.0308, 0.5807) x4
Cl (0.2378, 0.5818, 0.7925) x4
Cl (0.2392, 0.2169, 0.0875) x4
Cl (0.3556, 0.6323, 0.3124) x4
O (0.3745, 0.5640, 0.5664) x4



Diffraction record for ZnGaNi2. The PXRD pattern is computed, not measured: it uses a DFT-relaxed cell (GGA-PBE, the Materials Project) and Cu Kα (weighted mean of Kα1 and Kα2).

The 2 most intense peaks (5 to 70 degrees two-theta), most intense first:
two_theta, I (rel.)
44.19, 100.0
64.27, 15.3

Lattice parameters (Å, degrees): 5.7974 5.7974 5.7974 90.00 90.00 90.00
Space group Fm-3m (No. 225)
Inequivalent atoms, fractional coordinates:
Zn (0.0000, 0.0000, 0.0000) x4
Ga (0.0000, 0.0000, 0.5000) x4
Ni (0.2500, 0.2500, 0.2500) x8